Computed powder XRD pattern
Compound: KGa2PbSe
Radiation: Cu Kα, 1.54184 Å
Structure: a structure optimized by DFT (PBE)
No peak broadening, texture or thermal motion is included.

Largest 10 diffraction maxima, sorted by position, 2θ = 5–70°:
- 16.53°, d = 5.364 Å, intensity 100, (1 0 0)
- 27.89°, d = 3.199 Å, intensity 99, (1 1 1)
- 30.03°, d = 2.976 Å, intensity 47, (0 0 2)
- 33.41°, d = 2.682 Å, intensity 71, (2 0 0)
- 34.47°, d = 2.602 Å, intensity 35, (1 0 2)
- 37.49°, d = 2.399 Å, intensity 28, (2 1 0)
- 45.53°, d = 1.992 Å, intensity 59, (2 0 2)
- 48.76°, d = 1.868 Å, intensity 27, (2 1 2)
- 56.40°, d = 1.631 Å, intensity 27, (3 1 1)
- 57.64°, d = 1.599 Å, intensity 29, (2 2 2)

```
data_KGa2PbSe
_chemical_formula_sum 'K1 Ga2 Pb1 Se1'
_space_group_name_H-M_alt 'P 4/m m m'
_space_group_IT_number 123
_space_group_name_Hall '-P 4 2'
_cell_length_a 5.3642
_cell_length_b 5.3642
_cell_length_c 5.9517
_cell_angle_alpha 90.00
_cell_angle_beta 90.00
_cell_angle_gamma 90.00
loop_
_atom_site_label
_atom_site_type_symbol
_atom_site_fract_x
_atom_site_fract_y
_atom_site_fract_z
K1 K 0.0000 0.0000 0.0000
Ga1 Ga 0.0000 0.5000 0.5000
Pb1 Pb 0.5000 0.5000 0.0000
Se1 Se 0.5000 0.5000 0.5000
```